No. 1
For Er4GaRh4, a cell relaxed with GGA-PBE gives the calculated PXRD pattern in this record (CuKα).
Neutral-atom scattering factors, no anomalous dispersion.

Structure:
Lattice parameters (Å, degrees): 7.825 5.444 10.732 90.00 124.13 90.00
Fractional positions:
Er: 0.190 0.120 0.194
Er: 0.190 0.880 0.694
Er: 0.258 0.376 0.920
Er: 0.258 0.624 0.420
Er: 0.742 0.376 0.580
Er: 0.742 0.624 0.080
Er: 0.810 0.120 0.306
Er: 0.810 0.880 0.806
Ga: 0.500 0.368 0.750
Ga: 0.500 0.632 0.250
Rh: 0.130 0.364 0.613
Rh: 0.130 0.636 0.113
Rh: 0.347 0.115 0.507
Rh: 0.347 0.885 0.007
Rh: 0.653 0.115 0.993
Rh: 0.653 0.885 0.493
Rh: 0.870 0.364 0.887
Rh: 0.870 0.636 0.387

Principal peaks in the range 10° ≤ 2θ ≤ 90°, by angle:
- 2θ = 27.5°, I 35
- 2θ = 34.5°, I 100
- 2θ = 34.6°, I 79
- 2θ = 35.0°, I 15
- 2θ = 37.7°, I 22
- 2θ = 38.5°, I 21
- 2θ = 40.8°, I 44
- 2θ = 41.8°, I 33
- 2θ = 50.3°, I 22
- 2θ = 61.7°, I 13



No. 2
For Er3Ga4Rh4, a cell relaxed with GGA-PBE gives the calculated PXRD pattern in this record (CuKα).
Neutral-atom scattering factors, no anomalous dispersion.

Structure:
Lattice parameters (Å, degrees): 3.652 4.404 13.075 80.49 82.03 89.95
Fractional positions:
Er: 0.000 0.000 0.000
Er: 0.146 0.647 0.709
Er: 0.854 0.353 0.291
Ga: 0.307 0.806 0.385
Ga: 0.450 0.451 0.099
Ga: 0.550 0.549 0.901
Ga: 0.693 0.194 0.615
Rh: 0.258 0.258 0.484
Rh: 0.405 0.906 0.191
Rh: 0.595 0.094 0.809
Rh: 0.742 0.742 0.516

Principal peaks in the range 10° ≤ 2θ ≤ 90°, by angle:
- 2θ = 22.7°, I 15
- 2θ = 34.8°, I 100
- 2θ = 34.9°, I 100
- 2θ = 41.0°, I 44
- 2θ = 44.0°, I 24
- 2θ = 44.2°, I 24
- 2θ = 50.0°, I 25
- 2θ = 54.7°, I 18
- 2θ = 54.9°, I 18
- 2θ = 68.8°, I 21



No. 3
For Er2Ga2SbRh5, a cell relaxed with GGA-PBE gives the calculated PXRD pattern in this record (CuKα).
Neutral-atom scattering factors, no anomalous dispersion.

Structure:
Lattice parameters (Å, degrees): 9.761 9.761 3.617 90.00 90.00 90.00
Fractional positions:
Er: 0.174 0.326 0.000
Er: 0.326 0.826 0.000
Er: 0.674 0.174 0.000
Er: 0.826 0.674 0.000
Ga: 0.123 0.623 0.000
Ga: 0.377 0.123 0.000
Ga: 0.623 0.877 0.000
Ga: 0.877 0.377 0.000
Sb: 0.000 0.000 0.000
Sb: 0.500 0.500 0.000
Rh: 0.000 0.500 0.500
Rh: 0.069 0.793 0.500
Rh: 0.207 0.069 0.500
Rh: 0.293 0.569 0.500
Rh: 0.431 0.293 0.500
Rh: 0.500 0.000 0.500
Rh: 0.569 0.707 0.500
Rh: 0.707 0.431 0.500
Rh: 0.793 0.931 0.500
Rh: 0.931 0.207 0.500

Principal peaks in the range 10° ≤ 2θ ≤ 90°, by angle:
- 2θ = 32.1°, I 30
- 2θ = 36.0°, I 24
- 2θ = 38.0°, I 49
- 2θ = 38.3°, I 100
- 2θ = 39.2°, I 15
- 2θ = 41.4°, I 18
- 2θ = 41.7°, I 31
- 2θ = 50.5°, I 22
- 2θ = 64.9°, I 20
- 2θ = 66.6°, I 11



No. 4
For YErGaRh, a cell relaxed with GGA-PBE gives the calculated PXRD pattern in this record (CuKα).
Neutral-atom scattering factors, no anomalous dispersion.

Structure:
Lattice parameters (Å, degrees): 4.293 5.684 5.684 40.07 90.00 90.00
Fractional positions:
Y: 0.000 0.000 0.000
Er: 0.500 0.283 0.283
Ga: 0.500 0.572 0.572
Rh: 0.000 0.719 0.719

Principal peaks in the range 10° ≤ 2θ ≤ 90°, by angle:
- 2θ = 16.6°, I 20
- 2θ = 32.1°, I 100
- 2θ = 33.6°, I 22
- 2θ = 34.1°, I 34
- 2θ = 39.8°, I 26
- 2θ = 40.2°, I 59
- 2θ = 42.1°, I 27
- 2θ = 46.6°, I 20
- 2θ = 55.3°, I 17
- 2θ = 75.7°, I 17



No. 5
For Er4Ga12Ru, a cell relaxed with GGA-PBE gives the calculated PXRD pattern in this record (CuKα).
Neutral-atom scattering factors, no anomalous dispersion.

Structure:
Lattice parameters (Å, degrees): 7.430 7.430 7.430 109.47 109.47 109.47
Fractional positions:
Er: 0.000 0.000 0.500
Er: 0.000 0.500 0.000
Er: 0.500 0.000 0.000
Er: 0.500 0.500 0.500
Ga: 0.000 0.291 0.291
Ga: 0.000 0.709 0.709
Ga: 0.250 0.500 0.750
Ga: 0.250 0.750 0.500
Ga: 0.291 0.000 0.291
Ga: 0.291 0.291 0.000
Ga: 0.500 0.250 0.750
Ga: 0.500 0.750 0.250
Ga: 0.709 0.000 0.709
Ga: 0.709 0.709 0.000
Ga: 0.750 0.250 0.500
Ga: 0.750 0.500 0.250
Ru: 0.000 0.000 0.000

Principal peaks in the range 10° ≤ 2θ ≤ 90°, by angle:
- 2θ = 20.7°, I 9
- 2θ = 29.4°, I 35
- 2θ = 36.3°, I 100
- 2θ = 42.1°, I 64
- 2θ = 52.2°, I 11
- 2θ = 61.1°, I 38
- 2θ = 69.3°, I 10
- 2θ = 73.2°, I 31
- 2θ = 77.0°, I 12
- 2θ = 84.5°, I 9



No. 6
For Er3GaRu, a cell relaxed with GGA-PBE gives the calculated PXRD pattern in this record (CuKα).
Neutral-atom scattering factors, no anomalous dispersion.

Structure:
Lattice parameters (Å, degrees): 9.144 8.476 5.655 77.83 64.98 37.19
Fractional positions:
Er: 0.195 0.195 0.805
Er: 0.210 0.577 0.423
Er: 0.423 0.790 0.210
Er: 0.577 0.210 0.790
Er: 0.790 0.423 0.577
Er: 0.805 0.805 0.195
Ga: 0.196 0.804 0.804
Ga: 0.804 0.196 0.196
Ru: 0.250 0.250 0.250
Ru: 0.750 0.750 0.750

Principal peaks in the range 10° ≤ 2θ ≤ 90°, by angle:
- 2θ = 28.1°, I 36
- 2θ = 29.7°, I 22
- 2θ = 32.5°, I 93
- 2θ = 33.2°, I 84
- 2θ = 36.0°, I 76
- 2θ = 36.4°, I 100
- 2θ = 39.4°, I 41
- 2θ = 41.3°, I 35
- 2θ = 55.3°, I 22
- 2θ = 59.3°, I 43



No. 7
For Er4GaS3, a cell relaxed with GGA-PBE gives the calculated PXRD pattern in this record (CuKα).
Neutral-atom scattering factors, no anomalous dispersion.

Structure:
Lattice parameters (Å, degrees): 5.566 5.566 5.566 90.00 90.00 90.00
Fractional positions:
Er: 0.000 0.000 0.000
Er: 0.000 0.500 0.500
Er: 0.500 0.000 0.500
Er: 0.500 0.500 0.000
Ga: 0.500 0.500 0.500
S: 0.000 0.000 0.500
S: 0.000 0.500 0.000
S: 0.500 0.000 0.000

Principal peaks in the range 10° ≤ 2θ ≤ 90°, by angle:
- 2θ = 15.9°, I 1
- 2θ = 27.8°, I 65
- 2θ = 32.2°, I 100
- 2θ = 46.1°, I 73
- 2θ = 54.7°, I 32
- 2θ = 57.3°, I 25
- 2θ = 67.3°, I 12
- 2θ = 74.3°, I 13
- 2θ = 76.5°, I 32
- 2θ = 85.5°, I 25



No. 8
For Er6GaS8, a cell relaxed with GGA-PBE gives the calculated PXRD pattern in this record (CuKα).
Neutral-atom scattering factors, no anomalous dispersion.

Structure:
Lattice parameters (Å, degrees): 7.727 7.727 7.727 60.00 60.00 60.00
Fractional positions:
Er: 0.000 0.000 0.500
Er: 0.000 0.500 0.000
Er: 0.000 0.500 0.500
Er: 0.500 0.000 0.000
Er: 0.500 0.000 0.500
Er: 0.500 0.500 0.000
Ga: 0.000 0.000 0.000
S: 0.250 0.250 0.250
S: 0.251 0.251 0.749
S: 0.251 0.749 0.251
S: 0.251 0.749 0.749
S: 0.749 0.251 0.251
S: 0.749 0.251 0.749
S: 0.749 0.749 0.251
S: 0.750 0.750 0.750

Principal peaks in the range 10° ≤ 2θ ≤ 90°, by angle:
- 2θ = 16.2°, I 20
- 2θ = 23.0°, I 18
- 2θ = 28.3°, I 69
- 2θ = 32.8°, I 100
- 2θ = 47.0°, I 71
- 2θ = 55.8°, I 34
- 2θ = 58.5°, I 25
- 2θ = 75.9°, I 14
- 2θ = 78.2°, I 32
- 2θ = 87.5°, I 25



No. 9
For Er7GaS5, a cell relaxed with GGA-PBE gives the calculated PXRD pattern in this record (CuKα).
Neutral-atom scattering factors, no anomalous dispersion.

Structure:
Lattice parameters (Å, degrees): 3.857 23.049 6.678 90.00 106.70 90.00
Fractional positions:
Er: 0.025 0.250 0.050
Er: 0.137 0.536 0.275
Er: 0.137 0.964 0.275
Er: 0.317 0.177 0.634
Er: 0.317 0.323 0.634
Er: 0.408 0.612 0.814
Er: 0.408 0.888 0.814
Er: 0.592 0.112 0.186
Er: 0.592 0.388 0.186
Er: 0.683 0.677 0.366
Er: 0.683 0.823 0.366
Er: 0.863 0.036 0.725
Er: 0.863 0.464 0.725
Er: 0.975 0.750 0.950
Ga: 0.304 0.750 0.609
Ga: 0.696 0.250 0.391
S: 0.048 0.641 0.095
S: 0.048 0.859 0.095
S: 0.226 0.071 0.452
S: 0.226 0.429 0.452
S: 0.500 0.000 0.000
S: 0.500 0.500 0.000
S: 0.774 0.571 0.548
S: 0.774 0.929 0.548
S: 0.952 0.141 0.905
S: 0.952 0.359 0.905

Principal peaks in the range 10° ≤ 2θ ≤ 90°, by angle:
- 2θ = 28.2°, I 25
- 2θ = 28.7°, I 57
- 2θ = 30.5°, I 100
- 2θ = 32.2°, I 93
- 2θ = 33.4°, I 54
- 2θ = 34.1°, I 25
- 2θ = 47.0°, I 45
- 2θ = 47.1°, I 32
- 2θ = 55.8°, I 36
- 2θ = 57.2°, I 34



No. 10
For Er4GaSiS2, a cell relaxed with GGA-PBE gives the calculated PXRD pattern in this record (CuKα).
Neutral-atom scattering factors, no anomalous dispersion.

Structure:
Lattice parameters (Å, degrees): 6.909 6.909 6.909 131.75 131.75 70.62
Fractional positions:
Er: 0.004 0.504 0.500
Er: 0.242 0.242 0.000
Er: 0.496 0.996 0.500
Er: 0.758 0.758 0.000
Ga: 0.500 0.500 0.000
Si: 0.750 0.250 0.500
S: 0.000 0.000 0.000
S: 0.250 0.750 0.500

Principal peaks in the range 10° ≤ 2θ ≤ 90°, by angle:
- 2θ = 27.4°, I 67
- 2θ = 31.7°, I 100
- 2θ = 45.4°, I 73
- 2θ = 53.9°, I 32
- 2θ = 56.5°, I 25
- 2θ = 66.2°, I 8
- 2θ = 73.1°, I 13
- 2θ = 75.3°, I 22
- 2θ = 75.4°, I 10
- 2θ = 84.0°, I 24



No. 11
For Er5GaSb2, a cell relaxed with GGA-PBE gives the calculated PXRD pattern in this record (CuKα).
Neutral-atom scattering factors, no anomalous dispersion.

Structure:
Lattice parameters (Å, degrees): 6.635 6.635 14.124 90.00 90.00 127.28
Fractional positions:
Er: 0.069 0.931 0.613
Er: 0.069 0.931 0.887
Er: 0.337 0.663 0.250
Er: 0.376 0.624 0.571
Er: 0.376 0.624 0.929
Er: 0.624 0.376 0.071
Er: 0.624 0.376 0.429
Er: 0.663 0.337 0.750
Er: 0.931 0.069 0.113
Er: 0.931 0.069 0.387
Ga: 0.246 0.754 0.750
Ga: 0.754 0.246 0.250
Sb: 0.185 0.815 0.080
Sb: 0.185 0.815 0.420
Sb: 0.815 0.185 0.580
Sb: 0.815 0.185 0.920

Principal peaks in the range 10° ≤ 2θ ≤ 90°, by angle:
- 2θ = 24.1°, I 48
- 2θ = 27.9°, I 25
- 2θ = 30.3°, I 93
- 2θ = 30.5°, I 37
- 2θ = 33.2°, I 100
- 2θ = 35.7°, I 40
- 2θ = 38.2°, I 33
- 2θ = 39.1°, I 27
- 2θ = 47.6°, I 43
- 2θ = 49.6°, I 31



No. 12
For ErSc3Ga3, a cell relaxed with GGA-PBE gives the calculated PXRD pattern in this record (CuKα).
Neutral-atom scattering factors, no anomalous dispersion.

Structure:
Lattice parameters (Å, degrees): 8.622 8.622 4.571 90.00 90.00 120.00
Fractional positions:
Er: 0.333 0.667 0.250
Er: 0.667 0.333 0.750
Sc: 0.011 0.243 0.750
Sc: 0.232 0.989 0.750
Sc: 0.243 0.232 0.250
Sc: 0.757 0.768 0.750
Sc: 0.768 0.011 0.250
Sc: 0.989 0.757 0.250
Ga: 0.063 0.614 0.750
Ga: 0.386 0.449 0.750
Ga: 0.449 0.063 0.250
Ga: 0.551 0.937 0.750
Ga: 0.614 0.551 0.250
Ga: 0.937 0.386 0.250

Principal peaks in the range 10° ≤ 2θ ≤ 90°, by angle:
- 2θ = 11.9°, I 34
- 2θ = 22.8°, I 16
- 2θ = 30.9°, I 32
- 2θ = 31.7°, I 26
- 2θ = 36.1°, I 15
- 2θ = 37.5°, I 100
- 2θ = 39.4°, I 23
- 2θ = 56.5°, I 16
- 2θ = 70.2°, I 16
- 2θ = 71.1°, I 15